[1]
# Ho2Cd3Hg3
Theoretical powder XRD pattern, Cu Kα. Input: a DFT-relaxed cell (GGA-PBE, Alexandria).
Peak positions follow from Bragg's law for the DFT cell and can differ from measured ones.

Crystal structure
Lattice parameters (Å, degrees): 8.8077 8.8077 8.8077 33.47 33.47 33.47
Element x y z (fractional)
Ho: 0.0000 0.0000 0.0000
Ho: 0.4952 0.4952 0.4952
Cd: 0.2472 0.2472 0.2472
Cd: 0.7482 0.7482 0.7482
Cd: 0.8740 0.8740 0.8740
Hg: 0.1244 0.1244 0.1244
Hg: 0.3717 0.3717 0.3717
Hg: 0.6203 0.6203 0.6203

The 12 most intense peaks (10 to 90 degrees two-theta), by angle:
2θ 20.53, I 1.0
2θ 21.44, I 2.2
2θ 24.80, I 1.9
2θ 35.36, I 100.0
2θ 41.73, I 1.3
2θ 50.87, I 17.7
2θ 63.36, I 8.9
2θ 63.51, I 27.2
2θ 74.72, I 5.5
2θ 74.89, I 5.7
2θ 85.49, I 8.0
2θ 85.61, I 8.2



[2]
# Ho3Cd3Hg
Theoretical powder XRD pattern, Cu Kα. Input: a DFT-relaxed cell (GGA-PBE, Alexandria).
Peak positions follow from Bragg's law for the DFT cell and can differ from measured ones.

Crystal structure
Lattice parameters (Å, degrees): 3.4993 4.9012 20.7667 90.00 90.00 90.00
Element x y z (fractional)
Ho: 0.0000 0.0000 0.0000
Ho: 0.0000 0.0000 0.4007
Ho: 0.0000 0.5000 0.2042
Ho: 0.5000 0.0000 0.7042
Ho: 0.5000 0.5000 0.5000
Ho: 0.5000 0.5000 0.9007
Cd: 0.0000 0.0000 0.5569
Cd: 0.0000 0.0000 0.8470
Cd: 0.0000 0.5000 0.6321
Cd: 0.5000 0.0000 0.1321
Cd: 0.5000 0.5000 0.0569
Cd: 0.5000 0.5000 0.3470
Hg: 0.0000 0.5000 0.7689
Hg: 0.5000 0.0000 0.2689

The 12 most intense peaks (10 to 90 degrees two-theta), by angle:
2θ 32.60, I 100.0
2θ 33.49, I 47.0
2θ 35.37, I 78.5
2θ 36.67, I 40.5
2θ 41.04, I 14.7
2θ 47.18, I 13.2
2θ 50.50, I 29.6
2θ 52.29, I 14.5
2θ 63.48, I 14.7
2θ 64.71, I 26.6
2θ 65.56, I 16.2
2θ 88.20, I 13.1